# Dy5Si2BO13
Simulated XRD peak list, Cu Kα. Input: DFT lattice parameters and positions (PBE).

The 8 most intense peaks (2θ from 5° to 70°), by angle:
| Position (°2θ) | I/Imax |
| --- | --- |
| 22.05 | 38 |
| 23.19 | 39 |
| 28.58 | 76 |
| 32.20 | 82 |
| 32.34 | 72 |
| 32.71 | 100 |
| 47.52 | 37 |
| 52.87 | 38 |

Structural model:
Lattice parameters (Å, degrees): 9.265 6.778 9.280 90.00 119.63 90.00
Positions (direct):
Dy: 0.000 0.000 0.000
Dy: 0.006 0.500 0.539
Dy: 0.253 0.500 0.011
Dy: 0.259 0.000 0.793
Dy: 0.355 0.240 0.442
Dy: 0.355 0.760 0.442
Dy: 0.665 0.240 0.097
Dy: 0.665 0.760 0.097
Dy: 0.765 0.000 0.541
Dy: 0.775 0.500 0.785
Si: 0.040 0.500 0.177
Si: 0.378 0.500 0.742
Si: 0.610 0.500 0.401
Si: 0.981 0.000 0.375
B: 0.420 0.000 0.151
B: 0.641 0.000 0.804
O: 0.009 0.000 0.769
O: 0.010 0.500 0.778
O: 0.103 0.307 0.115
O: 0.103 0.693 0.115
O: 0.144 0.500 0.380
O: 0.181 0.000 0.446
O: 0.256 0.307 0.683
O: 0.256 0.693 0.683
O: 0.355 0.000 0.268
O: 0.365 0.181 0.038
O: 0.365 0.819 0.038
O: 0.406 0.500 0.302
O: 0.482 0.500 0.642
O: 0.497 0.500 0.942
O: 0.530 0.000 0.620
O: 0.544 0.000 0.895
O: 0.606 0.000 0.240
O: 0.666 0.310 0.525
O: 0.666 0.690 0.525
O: 0.688 0.500 0.280
O: 0.751 0.181 0.861
O: 0.751 0.819 0.861
O: 0.839 0.500 0.093
O: 0.877 0.000 0.172
O: 0.916 0.193 0.434
O: 0.916 0.807 0.434

---

# UCuSi
Simulated XRD peak list, Cu Kα. Input: DFT lattice parameters and positions (PBE).

The 8 most intense peaks (2θ from 5° to 70°), by angle:
| Position (°2θ) | I/Imax |
| --- | --- |
| 23.20 | 9 |
| 24.29 | 47 |
| 33.84 | 100 |
| 42.75 | 36 |
| 47.43 | 9 |
| 53.99 | 12 |
| 55.60 | 25 |
| 65.74 | 21 |

Structural model:
Lattice parameters (Å, degrees): 4.231 4.231 7.668 90.00 90.00 120.00
Positions (direct):
U: 0.000 0.000 0.000
U: 0.000 0.000 0.500
Cu: 0.333 0.667 0.250
Cu: 0.667 0.333 0.750
Si: 0.333 0.667 0.750
Si: 0.667 0.333 0.250

---

# Ba3Sr2Ca4Mg3Si6O24
Simulated XRD peak list, Cu Kα. Input: DFT lattice parameters and positions (PBE).

The 8 most intense peaks (2θ from 5° to 70°), by angle:
| Position (°2θ) | I/Imax |
| --- | --- |
| 22.58 | 57 |
| 31.83 | 82 |
| 32.45 | 100 |
| 38.85 | 20 |
| 39.90 | 30 |
| 46.10 | 49 |
| 57.50 | 30 |
| 57.90 | 21 |

Structural model:
Lattice parameters (Å, degrees): 5.517 5.517 20.861 90.00 90.00 120.00
Positions (direct):
Ba: 0.000 0.000 0.000
Ba: 0.000 0.000 0.331
Ba: 0.000 0.000 0.666
Sr: 0.333 0.667 0.444
Sr: 0.333 0.667 0.781
Ca: 0.333 0.667 0.111
Ca: 0.667 0.333 0.220
Ca: 0.667 0.333 0.555
Ca: 0.667 0.333 0.889
Mg: 0.000 0.000 0.164
Mg: 0.000 0.000 0.499
Mg: 0.000 0.000 0.834
Si: 0.333 0.667 0.253
Si: 0.333 0.667 0.590
Si: 0.333 0.667 0.926
Si: 0.667 0.333 0.075
Si: 0.667 0.333 0.407
Si: 0.667 0.333 0.742
O: 0.113 0.758 0.222
O: 0.118 0.764 0.558
O: 0.120 0.766 0.893
O: 0.234 0.354 0.893
O: 0.236 0.354 0.558
O: 0.242 0.355 0.222
O: 0.333 0.667 0.003
O: 0.333 0.667 0.331
O: 0.333 0.667 0.667
O: 0.350 0.151 0.439
O: 0.350 0.152 0.774
O: 0.355 0.115 0.106
O: 0.645 0.887 0.222
O: 0.646 0.880 0.893
O: 0.646 0.882 0.558
O: 0.667 0.333 0.329
O: 0.667 0.333 0.664
O: 0.667 0.333 0.997
O: 0.759 0.645 0.106
O: 0.801 0.650 0.439
O: 0.802 0.650 0.774
O: 0.848 0.198 0.774
O: 0.849 0.199 0.439
O: 0.885 0.241 0.106

---

# BiP4O12
Simulated XRD peak list, Cu Kα. Input: DFT lattice parameters and positions (PBE).

The 8 most intense peaks (2θ from 5° to 70°), by angle:
| Position (°2θ) | I/Imax |
| --- | --- |
| 8.99 | 100 |
| 10.07 | 31 |
| 18.44 | 29 |
| 21.53 | 27 |
| 22.92 | 37 |
| 26.74 | 35 |
| 27.19 | 33 |
| 28.20 | 30 |

Structural model:
Lattice parameters (Å, degrees): 10.810 10.810 5.271 101.30 101.30 66.67
Positions (direct):
Bi: 0.158 0.158 0.105
Bi: 0.842 0.842 0.895
P: 0.101 0.732 0.498
P: 0.196 0.438 0.600
P: 0.268 0.899 0.502
P: 0.438 0.196 0.600
P: 0.562 0.804 0.400
P: 0.732 0.101 0.498
P: 0.804 0.562 0.400
P: 0.899 0.268 0.502
O: 0.009 0.755 0.246
O: 0.041 0.803 0.749
O: 0.115 0.368 0.399
O: 0.171 0.454 0.876
O: 0.183 0.574 0.506
O: 0.197 0.959 0.251
O: 0.231 0.769 0.500
O: 0.245 0.991 0.754
O: 0.356 0.356 0.574
O: 0.368 0.115 0.399
O: 0.426 0.817 0.494
O: 0.454 0.171 0.876
O: 0.546 0.829 0.124
O: 0.574 0.183 0.506
O: 0.632 0.885 0.601
O: 0.644 0.644 0.426
O: 0.755 0.009 0.246
O: 0.769 0.231 0.500
O: 0.803 0.041 0.749
O: 0.817 0.426 0.494
O: 0.829 0.546 0.124
O: 0.885 0.632 0.601
O: 0.959 0.197 0.251
O: 0.991 0.245 0.754

---

# Nd3Ti
Simulated XRD peak list, Cu Kα. Input: DFT lattice parameters and positions (PBE).

The 8 most intense peaks (2θ from 5° to 70°), by angle:
| Position (°2θ) | I/Imax |
| --- | --- |
| 17.99 | 11 |
| 25.54 | 10 |
| 31.42 | 100 |
| 36.44 | 50 |
| 40.92 | 6 |
| 52.48 | 35 |
| 62.46 | 41 |
| 65.57 | 12 |

Structural model:
Lattice parameters (Å, degrees): 4.932 4.932 4.932 90.00 90.00 90.00
Positions (direct):
Nd: 0.000 0.000 0.500
Nd: 0.000 0.500 0.000
Nd: 0.500 0.000 0.000
Ti: 0.500 0.500 0.500

---

# Na3CaTaSiP2O12
Simulated XRD peak list, Cu Kα. Input: DFT lattice parameters and positions (PBE).

The 8 most intense peaks (2θ from 5° to 70°), by angle:
| Position (°2θ) | I/Imax |
| --- | --- |
| 13.50 | 45 |
| 13.70 | 100 |
| 19.17 | 87 |
| 19.40 | 71 |
| 27.60 | 38 |
| 30.70 | 65 |
| 31.00 | 38 |
| 33.53 | 78 |

Structural model:
Lattice parameters (Å, degrees): 9.153 9.153 9.045 118.78 118.78 60.63
Positions (direct):
Na: 0.069 0.931 0.500
Na: 0.237 0.427 0.719
Na: 0.357 0.796 0.971
Na: 0.427 0.237 0.219
Na: 0.796 0.357 0.471
Na: 0.931 0.069 0.000
Ca: 0.180 0.673 0.092
Ca: 0.673 0.180 0.592
Ta: 0.472 0.961 0.803
Ta: 0.961 0.472 0.303
Si: 0.352 0.592 0.506
Si: 0.592 0.352 0.006
P: 0.093 0.261 0.906
P: 0.261 0.093 0.406
P: 0.771 0.855 0.173
P: 0.855 0.771 0.673
O: 0.024 0.732 0.827
O: 0.044 0.316 0.082
O: 0.091 0.267 0.419
O: 0.140 0.408 0.926
O: 0.175 0.537 0.463
O: 0.208 0.956 0.228
O: 0.267 0.091 0.919
O: 0.280 0.674 0.355
O: 0.316 0.044 0.582
O: 0.370 0.769 0.694
O: 0.408 0.140 0.426
O: 0.425 0.531 0.008
O: 0.531 0.425 0.508
O: 0.537 0.175 0.963
O: 0.595 0.858 0.009
O: 0.674 0.280 0.855
O: 0.682 0.826 0.723
O: 0.732 0.024 0.327
O: 0.769 0.370 0.194
O: 0.826 0.682 0.223
O: 0.838 0.914 0.625
O: 0.858 0.595 0.509
O: 0.914 0.838 0.125
O: 0.956 0.208 0.728

---

# CsMg6SiO8
Simulated XRD peak list, Cu Kα. Input: DFT lattice parameters and positions (PBE).

The 8 most intense peaks (2θ from 5° to 70°), by angle:
| Position (°2θ) | I/Imax |
| --- | --- |
| 11.98 | 52 |
| 24.97 | 43 |
| 26.19 | 39 |
| 27.18 | 61 |
| 27.76 | 100 |
| 27.92 | 39 |
| 28.61 | 40 |
| 42.99 | 77 |

Structural model:
Lattice parameters (Å, degrees): 4.208 6.807 7.390 91.40 90.01 90.44
Positions (direct):
Cs: 0.000 0.000 0.000
Mg: 0.487 0.733 0.267
Mg: 0.487 0.757 0.702
Mg: 0.488 0.252 0.471
Mg: 0.987 0.937 0.482
Mg: 0.991 0.442 0.242
Mg: 0.991 0.461 0.692
Si: 0.525 0.459 0.966
O: 0.484 0.703 0.983
O: 0.485 0.423 0.229
O: 0.485 0.448 0.704
O: 0.487 0.951 0.479
O: 0.915 0.401 0.963
O: 0.987 0.261 0.469
O: 0.987 0.729 0.289
O: 0.987 0.757 0.688

---

# Rb2Te
Simulated XRD peak list, Cu Kα. Input: DFT lattice parameters and positions (PBE).

The 8 most intense peaks (2θ from 5° to 70°), by angle:
| Position (°2θ) | I/Imax |
| --- | --- |
| 24.52 | 56 |
| 24.96 | 27 |
| 26.24 | 100 |
| 28.89 | 55 |
| 31.83 | 50 |
| 33.31 | 33 |
| 46.73 | 25 |
| 53.42 | 32 |

Structural model:
Lattice parameters (Å, degrees): 9.227 5.623 11.098 90.00 90.00 90.00
Positions (direct):
Rb: 0.026 0.250 0.171
Rb: 0.146 0.250 0.572
Rb: 0.354 0.750 0.072
Rb: 0.474 0.750 0.671
Rb: 0.526 0.250 0.329
Rb: 0.646 0.250 0.928
Rb: 0.854 0.750 0.428
Rb: 0.974 0.750 0.829
Te: 0.249 0.250 0.885
Te: 0.251 0.750 0.385
Te: 0.749 0.250 0.615
Te: 0.751 0.750 0.115

---

Copy entry 3 word for word.
# Ba3Sr2Ca4Mg3Si6O24
Simulated XRD peak list, Cu Kα. Input: DFT lattice parameters and positions (PBE).

The 8 most intense peaks (2θ from 5° to 70°), by angle:
| Position (°2θ) | I/Imax |
| --- | --- |
| 22.58 | 57 |
| 31.83 | 82 |
| 32.45 | 100 |
| 38.85 | 20 |
| 39.90 | 30 |
| 46.10 | 49 |
| 57.50 | 30 |
| 57.90 | 21 |

Structural model:
Lattice parameters (Å, degrees): 5.517 5.517 20.861 90.00 90.00 120.00
Positions (direct):
Ba: 0.000 0.000 0.000
Ba: 0.000 0.000 0.331
Ba: 0.000 0.000 0.666
Sr: 0.333 0.667 0.444
Sr: 0.333 0.667 0.781
Ca: 0.333 0.667 0.111
Ca: 0.667 0.333 0.220
Ca: 0.667 0.333 0.555
Ca: 0.667 0.333 0.889
Mg: 0.000 0.000 0.164
Mg: 0.000 0.000 0.499
Mg: 0.000 0.000 0.834
Si: 0.333 0.667 0.253
Si: 0.333 0.667 0.590
Si: 0.333 0.667 0.926
Si: 0.667 0.333 0.075
Si: 0.667 0.333 0.407
Si: 0.667 0.333 0.742
O: 0.113 0.758 0.222
O: 0.118 0.764 0.558
O: 0.120 0.766 0.893
O: 0.234 0.354 0.893
O: 0.236 0.354 0.558
O: 0.242 0.355 0.222
O: 0.333 0.667 0.003
O: 0.333 0.667 0.331
O: 0.333 0.667 0.667
O: 0.350 0.151 0.439
O: 0.350 0.152 0.774
O: 0.355 0.115 0.106
O: 0.645 0.887 0.222
O: 0.646 0.880 0.893
O: 0.646 0.882 0.558
O: 0.667 0.333 0.329
O: 0.667 0.333 0.664
O: 0.667 0.333 0.997
O: 0.759 0.645 0.106
O: 0.801 0.650 0.439
O: 0.802 0.650 0.774
O: 0.848 0.198 0.774
O: 0.849 0.199 0.439
O: 0.885 0.241 0.106